Record 1
The following is a computed powder diffractogram of Sr2CdPb2. It was derived from DFT lattice parameters and positions (PBE), using a wavelength of 1.5418 Å.
Kinematic intensities with the Lorentz-polarization factor, no thermal factor.

Most intense lines, 2θ = 10–90°, in order of falling intensity:
d/Å  I (rel.)
2.620  1000
3.148  874
2.566  578
4.646  499
3.076  364
2.879  353
3.188  298
3.213  281

Structural model:
Lattice parameters (Å, degrees): 6.673 6.673 12.092 115.24 115.24 45.23
Positions (direct):
Sr1 0.010 0.010 0.331
Sr2 0.180 0.180 0.104
Sr3 0.820 0.820 0.896
Sr4 0.990 0.990 0.669
Cd1 0.283 0.283 0.664
Cd2 0.717 0.717 0.336
Pb1 0.354 0.354 0.444
Pb2 0.469 0.469 0.114
Pb3 0.531 0.531 0.886
Pb4 0.646 0.646 0.556

***

Record 2
The following is a computed powder diffractogram of Sr2Cd10Pb. It was derived from DFT lattice parameters and positions (PBE), using a wavelength of 1.5418 Å.
Kinematic intensities with the Lorentz-polarization factor, no thermal factor.

Most intense lines, 2θ = 10–90°, in order of falling intensity:
d/Å  I (rel.)
2.777  1000
2.685  554
2.666  547
2.764  532
2.625  441
2.438  289
1.631  274
2.863  205

Structural model:
Lattice parameters (Å, degrees): 6.037 13.097 10.130 90.00 119.69 90.00
Positions (direct):
Sr1 0.006 0.142 0.309
Sr2 0.006 0.358 0.809
Sr3 0.994 0.642 0.191
Sr4 0.994 0.858 0.691
Cd1 0.085 0.117 0.672
Cd2 0.085 0.383 0.172
Cd3 0.109 0.588 0.614
Cd4 0.109 0.912 0.114
Cd5 0.357 0.203 0.131
Cd6 0.357 0.297 0.631
Cd7 0.377 0.745 0.038
Cd8 0.377 0.755 0.538
Cd9 0.441 0.513 0.125
Cd10 0.441 0.987 0.625
Cd11 0.559 0.013 0.375
Cd12 0.559 0.487 0.875
Cd13 0.623 0.245 0.462
Cd14 0.623 0.255 0.962
Cd15 0.643 0.703 0.369
Cd16 0.643 0.797 0.869
Cd17 0.891 0.088 0.886
Cd18 0.891 0.412 0.386
Cd19 0.915 0.617 0.828
Cd20 0.915 0.883 0.328
Pb1 0.500 0.000 0.000
Pb2 0.500 0.500 0.500

***

Record 3
The following is a computed powder diffractogram of Sr2Cd3Pb2. It was derived from DFT lattice parameters and positions (PBE), using a wavelength of 1.5418 Å.
Kinematic intensities with the Lorentz-polarization factor, no thermal factor.

Most intense lines, 2θ = 10–90°, in order of falling intensity:
d/Å  I (rel.)
3.026  1000
2.624  772
2.687  762
2.533  676
5.407  536
3.007  518
2.217  372
2.176  321

Structural model:
Lattice parameters (Å, degrees): 6.538 6.538 7.476 108.47 108.47 45.58
Positions (direct):
Sr1 0.146 0.146 0.259
Sr2 0.854 0.854 0.741
Cd1 0.408 0.408 0.076
Cd2 0.500 0.500 0.500
Cd3 0.592 0.592 0.924
Pb1 0.154 0.154 0.744
Pb2 0.846 0.846 0.256

***

Question: Number 1 is which compound?
Answer: Sr2CdPb2